Tl2CrAgO4: simulated powder X-ray diffraction pattern (Cu Kα, 1.54184 Å), based on the PBE+U geometry in Alexandria.

Largest 10 diffraction maxima, in order of rising 2θ, 10 to 90 degrees two-theta:
two_theta  d_spacing  intensity
18.13  4.893  57
21.96  4.048  93
28.17  3.168  68
30.88  2.896  100
31.73  2.820  51
32.21  2.779  49
35.60  2.522  87
36.43  2.467  56
41.56  2.173  47
53.53  1.712  42

Crystal structure
Unit cell a=11.5981 b=10.5654 c=6.2371 alpha=83.02 beta=64.72 gamma=32.26
Positions (direct):
Tl  0.0577  0.0577  0.6923
Tl  0.3077  0.3077  0.9423
Tl  0.6923  0.6923  0.0577
Tl  0.9423  0.9423  0.3077
Cr  0.3750  0.3750  0.3750
Cr  0.6250  0.6250  0.6250
Ag  0.1250  0.1250  0.1250
Ag  0.8750  0.8750  0.8750
O  0.0586  0.5972  0.4994
O  0.3448  0.4994  0.5972
O  0.4028  0.9414  0.6552
O  0.4994  0.3448  0.0586
O  0.5006  0.6552  0.9414
O  0.5972  0.0586  0.3448
O  0.6552  0.5006  0.4028
O  0.9414  0.4028  0.5006